[1]
Structure and theoretical PXRD pattern of DyTm4Te2 (a PBE-relaxed structure; CuKα).
Lines closer than 0.1° are merged.

Main lines, by angle (5° ≤ 2θ ≤ 70°):
| h k l | 2theta | Rel. int. |
| --- | --- | --- |
| 0 0 3 | 10.06 | 10 |
| 1 0 1 | 19.37 | 4 |
| 0 1 2 | 20.24 | 6 |
| 0 1 5 | 25.53 | 6 |
| 0 0 9 | 30.52 | 9 |
| 1 1 0 | 33.34 | 100 |
| 1 1 9 | 45.83 | 12 |
| 2 0 8 | 47.86 | 16 |
| 1 2 8 | 59.57 | 20 |
| 3 0 0 | 59.62 | 11 |
| 0 1 17 | 63.19 | 8 |
| 3 0 9 | 68.45 | 3 |

Cell and atoms:
```
data_DyTm4Te2
_symmetry_space_group_name_H-M 'R -3 m'
_symmetry_Int_Tables_number 166
_symmetry_space_group_name_Hall '-R 3 2"'
_cell_length_a 5.3720
_cell_length_b 5.3720
_cell_length_c 26.3713
_cell_angle_alpha 90.00
_cell_angle_beta 90.00
_cell_angle_gamma 120.00
loop_
_atom_site_label
_atom_site_type_symbol
_atom_site_fract_x
_atom_site_fract_y
_atom_site_fract_z
Dy1 Dy 0.0000 0.0000 0.0000
Tm1 Tm 0.0000 0.0000 0.2362
Tm2 Tm 0.0000 0.0000 0.3657
Te1 Te 0.0000 0.0000 0.1186
```

[2]
Structure and theoretical PXRD pattern of FeB2Mo4 (a PBE-relaxed structure; CuKα).
Lines closer than 0.1° are merged.

Main lines, by angle (5° ≤ 2θ ≤ 70°):
| h k l | 2theta | Rel. int. |
| --- | --- | --- |
| 0 0 3 | 7.67 | 2 |
| 0 0 12 | 31.02 | 6 |
| 0 1 2 | 34.53 | 2 |
| 1 0 4 | 35.72 | 2 |
| 0 1 5 | 36.58 | 100 |
| 1 0 7 | 38.82 | 6 |
| 0 0 15 | 39.05 | 22 |
| 1 0 10 | 43.24 | 65 |
| 0 1 17 | 57.26 | 6 |
| 1 1 0 | 61.09 | 25 |
| 0 1 20 | 64.50 | 14 |
| 1 0 22 | 69.69 | 4 |

Cell and atoms:
```
data_FeB2Mo4
_symmetry_space_group_name_H-M 'R -3 m'
_symmetry_Int_Tables_number 166
_symmetry_space_group_name_Hall '-R 3 2"'
_cell_length_a 3.0339
_cell_length_b 3.0339
_cell_length_c 34.5966
_cell_angle_alpha 90.00
_cell_angle_beta 90.00
_cell_angle_gamma 120.00
loop_
_atom_site_label
_atom_site_type_symbol
_atom_site_fract_x
_atom_site_fract_y
_atom_site_fract_z
Fe1 Fe 0.0000 0.0000 0.0000
B1 B 0.0000 0.0000 0.0960
Mo1 Mo 0.0000 0.0000 0.2009
Mo2 Mo 0.0000 0.0000 0.3924
```

[3]
Structure and theoretical PXRD pattern of Ta2B2Os5W (a PBE-relaxed structure; CuKα).
Lines closer than 0.1° are merged.

Main lines, by angle (5° ≤ 2θ ≤ 70°):
| h k l | 2theta | Rel. int. |
| --- | --- | --- |
| 3 2 0 | 33.69 | 19 |
| 2 1 1 | 36.86 | 68 |
| 4 0 0 | 37.51 | 15 |
| 4 1 0 | 38.71 | 82 |
| 3 3 0 | 39.88 | 12 |
| 2 2 1 | 40.42 | 38 |
| 4 2 0 | 42.13 | 47 |
| 3 1 1 | 42.65 | 100 |
| 3 2 1 | 45.84 | 34 |
| 0 0 2 | 62.70 | 18 |
| 5 3 1 | 64.83 | 11 |
| 6 0 1 | 66.45 | 18 |

Cell and atoms:
```
data_Ta2B2Os5W
_symmetry_space_group_name_H-M 'P 4/m b m'
_symmetry_Int_Tables_number 127
_symmetry_space_group_name_Hall '-P 4 2ab'
_cell_length_a 9.5912
_cell_length_b 9.5912
_cell_length_c 2.9636
_cell_angle_alpha 90.00
_cell_angle_beta 90.00
_cell_angle_gamma 90.00
loop_
_atom_site_label
_atom_site_type_symbol
_atom_site_fract_x
_atom_site_fract_y
_atom_site_fract_z
Ta1 Ta 0.1775 0.3225 0.0000
B1 B 0.1206 0.6206 0.0000
Os1 Os 0.0000 0.5000 0.5000
Os2 Os 0.0715 0.7806 0.5000
W1 W 0.0000 0.0000 0.0000
```

[4]
Structure and theoretical PXRD pattern of Al2Ga (a PBE-relaxed structure; CuKα).
Lines closer than 0.1° are merged.

Main lines, by angle (5° ≤ 2θ ≤ 70°):
| h k l | 2theta | Rel. int. |
| --- | --- | --- |
| 0 0 2 | 15.42 | 28 |
| 1 0 1 | 31.00 | 24 |
| 0 0 4 | 31.13 | 6 |
| 1 0 3 | 38.26 | 100 |
| 1 1 0 | 42.91 | 36 |
| 1 1 2 | 45.86 | 8 |
| 0 0 6 | 47.48 | 13 |
| 1 0 5 | 50.13 | 6 |
| 1 1 4 | 53.96 | 5 |
| 2 0 0 | 62.31 | 12 |
| 1 0 7 | 64.86 | 4 |
| 1 1 6 | 65.90 | 19 |

Cell and atoms:
```
data_Al2Ga
_symmetry_space_group_name_H-M 'I 4/m m m'
_symmetry_Int_Tables_number 139
_symmetry_space_group_name_Hall '-I 4 2'
_cell_length_a 2.9804
_cell_length_b 2.9804
_cell_length_c 11.4903
_cell_angle_alpha 90.00
_cell_angle_beta 90.00
_cell_angle_gamma 90.00
loop_
_atom_site_label
_atom_site_type_symbol
_atom_site_fract_x
_atom_site_fract_y
_atom_site_fract_z
Al1 Al 0.0000 0.0000 0.1680
Ga1 Ga 0.0000 0.0000 0.5000
```